Computed powder diffractogram
Compound: Pm4Ga
Radiation: a wavelength of 1.5418 Å
Structure: a structure optimized by DFT (GGA-PBE)
Intensities are scaled so that the largest is 100.

Crystal structure
```
Pm4Ga
1.0
0.0000 7.6152 3.2692
6.1481 0.0000 3.2692
6.1481 7.6152 0.0000
Pm Ga
8 2
Cartesian
8.3241 6.7553 1.8012
7.0332 1.7329 3.2692
3.9591 2.0747 1.6346
5.2500 4.6675 3.4358
2.1890 5.5405 1.6346
3.9721 8.4751 1.8012
7.0461 10.5629 3.4358
5.2630 13.4974 3.2692
6.1481 7.6152 3.9417
9.2221 11.4227 5.5763
```

Top 10 peaks for 2θ = 10–90°, by angle:
Position (°2θ)  I (rel.)
23.3  17
31.0  32
31.2  35
31.4  43
33.2  100
49.4  12
52.1  12
52.7  12
58.4  12
65.9  9